Entry 1:
Computed powder diffractogram of La2Nd12Tm for Cu Kα (λ = 1.5418 Å), from a crystal structure in Alexandria, relaxed with PBE.

Cell and atoms:
abc: 6.643 6.643 25.520
angles: 90.00 90.00 90.00
Sites, in units of the cell vectors:
La 0.250 0.750 0.236
La 0.250 0.750 0.764
La 0.750 0.250 0.236
La 0.750 0.250 0.764
Nd 0.062 0.562 0.389
Nd 0.062 0.938 0.611
Nd 0.082 0.582 0.938
Nd 0.082 0.918 0.062
Nd 0.250 0.250 0.163
Nd 0.250 0.250 0.287
Nd 0.250 0.250 0.713
Nd 0.250 0.250 0.837
Nd 0.418 0.582 0.062
Nd 0.418 0.918 0.938
Nd 0.438 0.562 0.611
Nd 0.438 0.938 0.389
Nd 0.562 0.062 0.611
Nd 0.562 0.438 0.389
Nd 0.582 0.082 0.062
Nd 0.582 0.418 0.938
Nd 0.750 0.750 0.163
Nd 0.750 0.750 0.287
Nd 0.750 0.750 0.713
Nd 0.750 0.750 0.837
Nd 0.918 0.082 0.938
Nd 0.918 0.418 0.062
Nd 0.938 0.062 0.389
Nd 0.938 0.438 0.611
Tm 0.250 0.750 0.500
Tm 0.750 0.250 0.500

Top 10 peaks for 2θ = 10–90°, in order of falling intensity:
2θ 30.9, I = 100
2θ 31.1, I = 98
2θ 27.8, I = 87
2θ 30.3, I = 79
2θ 31.6, I = 69
2θ 38.3, I = 67
2θ 28.9, I = 59
2θ 33.3, I = 56
2θ 20.1, I = 52
2θ 54.3, I = 50

---

Entry 2:
Computed powder diffractogram of Sr2Ti2Sb2OF2 for Cu Kα (λ = 1.5418 Å), from a crystal structure in Alexandria, relaxed with PBE.

Cell and atoms:
abc: 11.061 11.061 11.061
angles: 158.56 158.56 30.51
Sites, in units of the cell vectors:
Sr 0.183 0.183 0.000
Sr 0.817 0.817 0.000
Ti 0.000 0.500 0.500
Ti 0.500 0.000 0.500
Sb 0.405 0.405 0.000
Sb 0.595 0.595 0.000
O 0.000 0.000 0.000
F 0.250 0.750 0.500
F 0.750 0.250 0.500

Top 10 peaks for 2θ = 10–90°, in order of falling intensity:
2θ 30.2, I = 100
2θ 44.0, I = 45
2θ 35.1, I = 39
2θ 54.3, I = 37
2θ 30.7, I = 25
2θ 64.0, I = 18
2θ 22.0, I = 16
2θ 46.2, I = 13
2θ 62.7, I = 11
2θ 88.7, I = 9

---

Entry 3:
Computed powder diffractogram of Pu5MnGe5 for Cu Kα (λ = 1.5418 Å), from a crystal structure in Alexandria, relaxed with PBE.

Cell and atoms:
abc: 8.966 8.966 5.619
angles: 108.14 108.14 34.25
Sites, in units of the cell vectors:
Pu 0.000 0.000 0.000
Pu 0.342 0.342 0.093
Pu 0.342 0.342 0.591
Pu 0.658 0.658 0.409
Pu 0.658 0.658 0.907
Mn 0.000 0.000 0.500
Ge 0.159 0.159 0.660
Ge 0.182 0.182 0.182
Ge 0.500 0.500 0.500
Ge 0.818 0.818 0.818
Ge 0.841 0.841 0.340

Top 10 peaks for 2θ = 10–90°, in order of falling intensity:
2θ 23.6, I = 100
2θ 40.0, I = 74
2θ 34.0, I = 74
2θ 36.7, I = 71
2θ 33.2, I = 70
2θ 48.2, I = 50
2θ 39.0, I = 31
2θ 52.7, I = 26
2θ 76.9, I = 22
2θ 33.8, I = 19